Diffraction record for CrAuS2. The PXRD pattern is calculated, not measured: it uses a crystal structure in the Materials Project, relaxed with GGA-PBE and copper Kα.

Principal peaks in the range 5 to 70 degrees two-theta, by intensity:
(0 1 2), 2θ 30.2, I = 100
(1 0 1), 2θ 29.3, I = 58
(0 1 8), 2θ 44.8, I = 41
(1 0 4), 2θ 33.6, I = 39
(0 0 3), 2θ 12.4, I = 39
(0 0 6), 2θ 24.9, I = 34
(1 1 0), 2θ 51.4, I = 31
(1 0 10), 2θ 52.0, I = 29
(1 1 6), 2θ 57.9, I = 21
(1 1 9), 2θ 65.5, I = 14

Structural model:
Cell lengths 3.5551, 3.5551, 21.4373 Å; angles 90.00, 90.00, 120.00 degrees
Space group R-3m (No. 166, hexagonal axes)
One atom of each set of equivalent atoms:
Cr 0.0000 0.0000 0.0000 x3
Au 0.0000 0.0000 0.5000 x3
S 0.0000 0.0000 0.3916 x6